# 1
Diffraction record for SmCd4Ag8. The powder X-ray diffraction pattern is computed, not measured: it uses DFT lattice parameters and positions (GGA-PBE) and Cu Kα (weighted mean of Kα1 and Kα2).

Top 10 peaks for 10° ≤ 2θ ≤ 80°, sorted by position:
- 2θ 31.57, I 10
- 2θ 31.87, I 30
- 2θ 36.73, I 48
- 2θ 37.02, I 100
- 2θ 41.33, I 39
- 2θ 41.62, I 34
- 2θ 59.82, I 15
- 2θ 66.60, I 18
- 2θ 66.77, I 13
- 2θ 78.12, I 8

Structure:
```
data_SmCd4Ag8
_symmetry_space_group_name_H-M 'P 1'
_symmetry_Int_Tables_number 1
_cell_length_a 7.420
_cell_length_b 7.420
_cell_length_c 7.420
_cell_angle_alpha 98.39
_cell_angle_beta 98.39
_cell_angle_gamma 135.09
loop_
_symmetry_equiv_pos_as_xyz
'x,y,z'
loop_
_atom_site_label
_atom_site_fract_x
_atom_site_fract_y
_atom_site_fract_z
Sm1 0.000 0.000 0.000
Cd1 0.000 0.000 0.500
Cd2 0.000 0.500 0.000
Cd3 0.500 0.000 0.000
Cd4 0.500 0.500 0.500
Ag1 0.000 0.350 0.350
Ag2 0.000 0.650 0.650
Ag3 0.289 0.500 0.789
Ag4 0.350 0.000 0.350
Ag5 0.500 0.289 0.789
Ag6 0.500 0.711 0.211
Ag7 0.650 0.000 0.650
Ag8 0.711 0.500 0.211
```


# 2
Diffraction record for Na3LaC4O12. The powder X-ray diffraction pattern is computed, not measured: it uses DFT lattice parameters and positions (GGA-PBE) and Cu Kα (weighted mean of Kα1 and Kα2).

Top 10 peaks for 10° ≤ 2θ ≤ 80°, sorted by position:
- 2θ 14.05, I 67
- 2θ 17.48, I 35
- 2θ 22.09, I 27
- 2θ 28.31, I 100
- 2θ 28.63, I 27
- 2θ 33.46, I 21
- 2θ 35.38, I 19
- 2θ 38.24, I 19
- 2θ 45.06, I 25
- 2θ 46.79, I 25

Structure:
```
data_Na3LaC4O12
_symmetry_space_group_name_H-M 'P 1'
_symmetry_Int_Tables_number 1
_cell_length_a 6.590
_cell_length_b 6.590
_cell_length_c 6.590
_cell_angle_alpha 100.69
_cell_angle_beta 100.69
_cell_angle_gamma 100.69
loop_
_symmetry_equiv_pos_as_xyz
'x,y,z'
loop_
_atom_site_label
_atom_site_fract_x
_atom_site_fract_y
_atom_site_fract_z
Na1 0.000 0.533 0.467
Na2 0.467 0.000 0.533
Na3 0.533 0.467 0.000
La1 0.000 0.000 0.000
C1 0.033 0.500 0.967
C2 0.500 0.500 0.500
C3 0.500 0.967 0.033
C4 0.967 0.033 0.500
O1 0.038 0.636 0.847
O2 0.093 0.907 0.500
O3 0.153 0.364 0.962
O4 0.364 0.962 0.153
O5 0.374 0.626 0.500
O6 0.500 0.093 0.907
O7 0.500 0.374 0.626
O8 0.626 0.500 0.374
O9 0.636 0.847 0.038
O10 0.847 0.038 0.636
O11 0.907 0.500 0.093
O12 0.962 0.153 0.364
```


# 3
Diffraction record for PuIn3Cl6. The powder X-ray diffraction pattern is computed, not measured: it uses DFT lattice parameters and positions (GGA-PBE) and Cu Kα (weighted mean of Kα1 and Kα2).

Top 10 peaks for 10° ≤ 2θ ≤ 80°, sorted by position:
- 2θ 13.83, I 28
- 2θ 20.26, I 71
- 2θ 22.81, I 100
- 2θ 24.73, I 25
- 2θ 25.41, I 22
- 2θ 31.87, I 40
- 2θ 35.75, I 57
- 2θ 39.55, I 46
- 2θ 41.87, I 16
- 2θ 43.78, I 21

Structure:
```
data_PuIn3Cl6
_symmetry_space_group_name_H-M 'P 1'
_symmetry_Int_Tables_number 1
_cell_length_a 8.983
_cell_length_b 8.435
_cell_length_c 7.317
_cell_angle_alpha 69.12
_cell_angle_beta 61.33
_cell_angle_gamma 49.56
loop_
_symmetry_equiv_pos_as_xyz
'x,y,z'
loop_
_atom_site_label
_atom_site_fract_x
_atom_site_fract_y
_atom_site_fract_z
Pu1 0.000 0.000 0.000
In1 0.250 0.250 0.250
In2 0.500 0.500 0.500
In3 0.750 0.750 0.750
Cl1 0.082 0.653 0.918
Cl2 0.238 0.762 0.238
Cl3 0.347 0.918 0.653
Cl4 0.653 0.082 0.347
Cl5 0.762 0.238 0.762
Cl6 0.918 0.347 0.082
```


# 4
Diffraction record for Nb3Ir3Ru2. The powder X-ray diffraction pattern is computed, not measured: it uses DFT lattice parameters and positions (GGA-PBE) and Cu Kα (weighted mean of Kα1 and Kα2).

Top 10 peaks for 10° ≤ 2θ ≤ 80°, sorted by position:
- 2θ 21.22, I 25
- 2θ 29.58, I 24
- 2θ 37.48, I 42
- 2θ 40.31, I 59
- 2θ 40.69, I 100
- 2θ 41.38, I 91
- 2θ 43.30, I 37
- 2θ 56.21, I 26
- 2θ 73.54, I 17
- 2θ 74.01, I 16

Structure:
```
data_Nb3Ir3Ru2
_symmetry_space_group_name_H-M 'P 1'
_symmetry_Int_Tables_number 1
_cell_length_a 12.712
_cell_length_b 4.475
_cell_length_c 4.800
_cell_angle_alpha 90.00
_cell_angle_beta 110.83
_cell_angle_gamma 90.00
loop_
_symmetry_equiv_pos_as_xyz
'x,y,z'
loop_
_atom_site_label
_atom_site_fract_x
_atom_site_fract_y
_atom_site_fract_z
Nb1 0.000 0.000 0.000
Nb2 0.136 0.000 0.692
Nb3 0.364 0.500 0.308
Nb4 0.500 0.500 0.000
Nb5 0.636 0.500 0.692
Nb6 0.864 0.000 0.308
Ir1 0.000 0.500 0.500
Ir2 0.135 0.500 0.074
Ir3 0.365 0.000 0.926
Ir4 0.500 0.000 0.500
Ir5 0.635 0.000 0.074
Ir6 0.865 0.500 0.926
Ru1 0.247 0.500 0.662
Ru2 0.253 0.000 0.338
Ru3 0.747 0.000 0.662
Ru4 0.753 0.500 0.338
```